Theoretical X-ray diffraction stick pattern of BaPrW2O8 for Cu Ka, from a DFT-relaxed cell (PBE+U, Alexandria).
Peak positions follow from Bragg's law for the DFT cell and can differ from measured ones.

Most intense lines, 10° ≤ 2θ ≤ 90°, sorted by position:
2theta  d (Å)  I/Imax
23.8  3.735  100
32.5  2.756  45
35.3  2.540  35
40.7  2.218  24
53.0  1.728  23
56.9  1.618  21

Crystal structure
```
BaPrW2O8
1.0
2.7562 1.5913 7.9976
-2.7562 1.5913 7.9976
0.0000 -3.1825 7.9976
Ba Pr W O
1 1 2 8
Cartesian
0.0000 0.0000 0.0000 Ba
0.0000 0.0000 11.9965 Pr
0.0000 0.0000 6.0117 W
0.0000 0.0000 17.9812 W
-0.9768 -1.6291 10.4998 O
-0.9224 -1.6605 13.4931 O
0.0000 0.0000 7.8318 O
-0.9224 1.6605 10.4998 O
-0.9768 1.6291 13.4931 O
0.0000 0.0000 16.1611 O
1.8992 -0.0314 10.4998 O
1.8992 0.0314 13.4931 O
```